# 1
Computed powder diffractogram
Compound: Rb3PuBe2O6
Radiation: Cu Ka
Structure: a GGA-PBE-relaxed structure
Intensities are scaled so that the largest is 100.

Main lines, in order of rising 2θ (2θ = 10–80°):
(hkl)  2theta  Rel. int.
0 0 1  12.2  35.1
1 0 0  17.8  61.0
0 1 1  21.7  45.9
1 0 2  30.5  100.0
1 1 0  31.1  64.6
2 0 1  38.3  20.3
2 0 2  44.2  43.1
2 1 2  55.0  36.4
1 1 4  60.4  21.5
1 3 2  73.4  16.6

Structure:
```
data_Rb3PuBe2O6
_chemical_formula_sum 'Rb3 Pu1 Be2 O6'
_symmetry_space_group_name_H-M 'P -3 m 1'
_symmetry_Int_Tables_number 164
_symmetry_space_group_name_Hall '-P 3 2"'
_cell_length_a 5.7446
_cell_length_b 5.7446
_cell_length_c 7.2415
_cell_angle_alpha 90.00
_cell_angle_beta 90.00
_cell_angle_gamma 120.00
loop_
_atom_site_label
_atom_site_fract_x
_atom_site_fract_y
_atom_site_fract_z
Rb1 0.0000 0.0000 0.0000
Rb2 0.3333 0.6667 0.7483
Pu1 0.0000 0.0000 0.5000
Be1 0.3333 0.6667 0.3251
O1 0.1763 0.3527 0.3234
```

---

# 2
Computed powder diffractogram
Compound: RbPuBeO4
Radiation: Cu Ka
Structure: a GGA-PBE-relaxed structure
Intensities are scaled so that the largest is 100.

Main lines, in order of rising 2θ (2θ = 10–80°):
(hkl)  2theta  Rel. int.
1 1 1  20.3  100.0
0 2 1  21.8  51.3
2 0 0  25.7  50.5
1 3 0  29.3  70.9
1 1 2  30.7  55.9
2 2 1  34.0  34.4
1 1 3  43.2  20.7
3 3 0  47.7  23.5
2 4 2  52.2  18.7
1 3 4  62.9  22.7

Structure:
```
data_RbPuBeO4
_chemical_formula_sum 'Rb4 Pu4 Be4 O16'
_symmetry_space_group_name_H-M 'C m c m'
_symmetry_Int_Tables_number 63
_symmetry_space_group_name_Hall '-C 2c 2'
_cell_length_a 6.9213
_cell_length_b 10.1881
_cell_length_c 6.7572
_cell_angle_alpha 90.00
_cell_angle_beta 90.00
_cell_angle_gamma 90.00
loop_
_atom_site_label
_atom_site_fract_x
_atom_site_fract_y
_atom_site_fract_z
Rb1 0.0000 0.0000 0.0000
Pu1 0.0000 0.3413 0.2500
Be1 0.0000 0.3922 0.7500
O1 0.0000 0.3033 0.5445
O2 0.1802 0.4979 0.2500
```

---

# 3
Computed powder diffractogram
Compound: Rb2PuBeO4
Radiation: Cu Ka
Structure: a GGA-PBE-relaxed structure
Intensities are scaled so that the largest is 100.

Main lines, in order of rising 2θ (2θ = 10–80°):
(hkl)  2theta  Rel. int.
0 1 1  18.3  54.8
1 1 0  19.5  67.0
0 0 2  26.2  28.9
2 0 0  29.4  45.6
1 0 2  30.1  35.3
1 2 1  32.6  100.0
2 1 1  34.9  24.4
2 0 2  39.8  29.0
3 2 1  54.2  24.2
2 2 3  57.3  25.0

Structure:
```
data_Rb2PuBeO4
_chemical_formula_sum 'Rb4 Pu2 Be2 O8'
_symmetry_space_group_name_H-M 'P m m n'
_symmetry_Int_Tables_number 59
_cell_length_a 6.0662
_cell_length_b 6.9260
_cell_length_c 6.8056
_cell_angle_alpha 90.00
_cell_angle_beta 90.00
_cell_angle_gamma 90.00
loop_
_symmetry_equiv_pos_as_xyz
'x,y,z'
'-x,-y,-z'
'-x+1/2,-y+1/2,z'
'x+1/2,y+1/2,-z'
'x+1/2,-y,-z'
'-x+1/2,y,z'
'-x,y+1/2,-z'
'x,-y+1/2,z'
loop_
_atom_site_label
_atom_site_fract_x
_atom_site_fract_y
_atom_site_fract_z
Rb1 0.2500 0.0051 0.2127
Pu1 0.2500 0.2500 0.6718
Be1 0.2500 0.7500 0.6534
O1 0.0229 0.7500 0.5090
O2 0.2500 0.5380 0.7817
```

---

# 4
Computed powder diffractogram
Compound: Rb2PuBeO6
Radiation: Cu Ka
Structure: a GGA-PBE-relaxed structure
Intensities are scaled so that the largest is 100.

Main lines, in order of rising 2θ (2θ = 10–80°):
(hkl)  2theta  Rel. int.
1 0 0  16.3  58.7
0 1 1  24.1  100.0
1 1 0  28.4  62.2
2 0 1  37.6  44.9
1 0 2  39.4  26.8
1 2 1  47.8  32.0
0 2 2  49.3  22.5
2 1 2  57.9  25.0
1 1 3  62.7  13.6
3 1 1  64.5  15.0

Structure:
```
data_Rb2PuBeO6
_chemical_formula_sum 'Rb2 Pu1 Be1 O6'
_symmetry_space_group_name_H-M 'P -3 m 1'
_symmetry_Int_Tables_number 164
_symmetry_space_group_name_Hall '-P 3 2"'
_cell_length_a 6.2821
_cell_length_b 6.2821
_cell_length_c 5.0456
_cell_angle_alpha 90.00
_cell_angle_beta 90.00
_cell_angle_gamma 120.00
loop_
_atom_site_label
_atom_site_fract_x
_atom_site_fract_y
_atom_site_fract_z
Rb1 0.3333 0.6667 0.3215
Pu1 0.0000 0.0000 0.0000
Be1 0.0000 0.0000 0.5000
O1 0.1346 0.2693 0.7370
```

---

# 5
Computed powder diffractogram
Compound: PuBe2Tl2O6
Radiation: Cu Ka
Structure: a GGA-PBE-relaxed structure
Intensities are scaled so that the largest is 100.

Main lines, in order of rising 2θ (2θ = 10–80°):
(hkl)  2theta  Rel. int.
1 0 1  18.9  72.8
1 0 4  26.4  56.1
0 1 5  30.1  100.0
1 1 0  32.0  76.4
0 2 4  42.0  28.0
2 0 5  44.5  27.5
1 0 10  52.1  17.1
2 1 4  53.8  17.9
1 1 9  54.8  30.0
1 2 5  55.9  34.2

Structure:
```
data_PuBe2Tl2O6
_chemical_formula_sum 'Pu3 Be6 Tl6 O18'
_symmetry_space_group_name_H-M 'R -3 m'
_symmetry_Int_Tables_number 166
_symmetry_space_group_name_Hall '-R 3 2"'
_cell_length_a 5.5862
_cell_length_b 5.5862
_cell_length_c 18.8273
_cell_angle_alpha 90.00
_cell_angle_beta 90.00
_cell_angle_gamma 120.00
loop_
_atom_site_label
_atom_site_fract_x
_atom_site_fract_y
_atom_site_fract_z
Pu1 0.0000 0.0000 0.0000
Be1 0.0000 0.0000 0.3965
Tl1 0.0000 0.0000 0.2112
O1 0.0133 0.5066 0.2678
```

---

# 6
Computed powder diffractogram
Compound: Rb3BeO2
Radiation: Cu Ka
Structure: a GGA-PBE-relaxed structure
Intensities are scaled so that the largest is 100.

Main lines, in order of rising 2θ (2θ = 10–80°):
(hkl)  2theta  Rel. int.
1 3 0  20.6  100.0
0 0 2  22.6  35.6
0 6 0  26.2  22.5
1 3 2  30.8  95.7
2 0 0  32.2  19.8
0 6 2  34.9  24.1
2 0 2  39.7  24.2
2 6 0  42.0  19.4
3 3 0  51.1  28.1
2 0 4  57.4  18.1

Structure:
```
data_Rb3BeO2
_chemical_formula_sum 'Rb12 Be4 O8'
_symmetry_space_group_name_H-M 'I b a m'
_symmetry_Int_Tables_number 72
_symmetry_space_group_name_Hall '-I 2 2c'
_cell_length_a 5.5650
_cell_length_b 20.3787
_cell_length_c 7.8580
_cell_angle_alpha 90.00
_cell_angle_beta 90.00
_cell_angle_gamma 90.00
loop_
_atom_site_label
_atom_site_fract_x
_atom_site_fract_y
_atom_site_fract_z
Rb1 0.0000 0.0000 0.2500
Rb2 0.0000 0.3540 0.2500
Be1 0.0000 0.5000 0.0000
O1 0.1558 0.4438 0.0000
```